Diffraction record for Fe3As2O6. The powder X-ray diffraction pattern is simulated, not measured: it uses DFT lattice parameters and positions (PBE+U) and Cu Kα, 1.54184 Å.
Kinematic intensities with the Lorentz-polarization factor, no thermal factor.

Cell and atoms:
```
data_Fe3As2O6
_chemical_formula_sum 'Fe3 As2 O6'
_space_group_name_H-M_alt 'P -3'
_space_group_IT_number 147
_space_group_name_Hall '-P 3'
_cell_length_a 5.3627
_cell_length_b 5.3627
_cell_length_c 5.5216
_cell_angle_alpha 90.00
_cell_angle_beta 90.00
_cell_angle_gamma 120.00
loop_
_atom_site_label
_atom_site_type_symbol
_atom_site_fract_x
_atom_site_fract_y
_atom_site_fract_z
Fe1 Fe 0.0000 0.0000 0.0000
Fe2 Fe 0.3333 0.6667 0.6280
As1 As 0.3333 0.6667 0.1150
O1 O 0.0575 0.3619 0.2773
```

Top 8 peaks for 10 to 80 degrees two-theta, by intensity:
2θ (°)  d [Å]  I_rel  (hkl)
33.42  2.681  100.0  1 1 0
37.91  2.373  94.9  0 1 2
51.42  1.777  43.4  2 0 2
62.72  1.481  43.3  3 -2 2
59.73  1.548  32.5  3 0 0
19.11  4.644  31.3  1 0 0
37.28  2.412  28.6  2 -1 1
25.05  3.554  15.3  0 1 1